Structure and computed XRD peak list of ScHgTeO (DFT lattice parameters and positions (GGA-PBE); Cu Kα, 1.54184 Å).

Top 6 peaks for 5° ≤ 2θ ≤ 70°, by angle:
| 2theta | I_rel | (hkl) |
| --- | --- | --- |
| 10.6 | 100.0 | 1 0 0 |
| 27.9 | 50.3 | 0 0 2 |
| 28.5 | 97.1 | 2 1 -1 |
| 29.9 | 62.2 | 1 0 2 |
| 33.5 | 42.5 | 2 2 0 |
| 41.4 | 48.6 | 0 3 1 |

Cell and atoms:
```
ScHgTeO
1.0
8.381 0.000 0.000
0.000 6.963 0.000
-0.014 0.000 6.392
Sc Hg Te O
4 4 4 4
Direct
0.013 0.122 0.202
0.013 0.378 0.702
0.987 0.622 0.298
0.987 0.878 0.798
0.449 0.685 0.492
0.449 0.815 0.992
0.551 0.185 0.008
0.551 0.315 0.508
0.263 0.033 0.537
0.263 0.467 0.037
0.737 0.533 0.963
0.737 0.967 0.463
0.034 0.655 0.604
0.034 0.845 0.104
0.966 0.155 0.896
0.966 0.345 0.396
```